Starting from a DFT-relaxed cell (GGA-PBE, Alexandria), the X-ray powder pattern of LiPuMgO5 was computed for Cu Kα (λ = 1.5418 Å).
Lines closer than 0.1° are merged.

Structural model:
```
LiPuMgO5
1.0
3.153 -4.644 0.000
3.153 4.644 0.000
-2.926 0.000 7.035
Li Pu Mg O
2 2 2 10
Direct
0.054 0.946 0.750
0.946 0.054 0.250
0.000 0.500 0.000
0.500 0.000 0.500
0.414 0.586 0.750
0.586 0.414 0.250
0.178 0.325 0.856
0.194 0.803 0.565
0.197 0.806 0.935
0.325 0.178 0.356
0.363 0.637 0.250
0.637 0.363 0.750
0.675 0.822 0.644
0.803 0.194 0.065
0.806 0.197 0.435
0.822 0.675 0.144
```

Most intense lines, 2θ from 5° to 70°, by angle:
Position (°2θ)  d [Å]  intensity
18.30  4.848  100
19.11  4.644  45
25.20  3.534  61
25.32  3.517  18
31.92  2.804  37
32.95  2.719  24